For Mg2BO4, a structure optimized by DFT (GGA-PBE) gives the calculated powder diffractogram in this record (Cu Kα X-rays).

Cell and atoms:
abc: 9.650 3.124 9.393
angles: 90.00 90.00 90.00
Fractional coordinates of all 28 atoms:
Mg: 0.107 0.250 0.196
Mg: 0.137 0.250 0.567
Mg: 0.363 0.750 0.067
Mg: 0.393 0.750 0.696
Mg: 0.607 0.250 0.304
Mg: 0.637 0.250 0.933
Mg: 0.863 0.750 0.433
Mg: 0.893 0.750 0.804
B: 0.168 0.250 0.871
B: 0.332 0.750 0.371
B: 0.668 0.250 0.629
B: 0.832 0.750 0.129
O: 0.003 0.250 0.395
O: 0.026 0.250 0.850
O: 0.223 0.250 0.006
O: 0.247 0.750 0.252
O: 0.253 0.250 0.752
O: 0.277 0.750 0.506
O: 0.474 0.750 0.350
O: 0.497 0.750 0.895
O: 0.503 0.250 0.105
O: 0.526 0.250 0.650
O: 0.723 0.250 0.494
O: 0.747 0.750 0.248
O: 0.753 0.250 0.748
O: 0.777 0.750 0.994
O: 0.974 0.750 0.150
O: 0.997 0.750 0.605

Top 12 peaks for 10 to 80 degrees two-theta, in order of falling intensity:
- 2θ 34.18, rel. 1000
- 2θ 44.81, rel. 276
- 2θ 56.44, rel. 264
- 2θ 30.00, rel. 226
- 2θ 42.83, rel. 204
- 2θ 59.15, rel. 188
- 2θ 50.05, rel. 179
- 2θ 35.54, rel. 151
- 2θ 59.65, rel. 132
- 2θ 21.04, rel. 111
- 2θ 49.43, rel. 99
- 2θ 67.64, rel. 89